KMnSn3O8: theoretical powder diffractogram (Cu Kα), based on a DFT-relaxed cell (GGA+U, the Materials Project).
Intensities are scaled so that the largest is 100.

Top 10 peaks for 5 to 70 degrees two-theta, by angle:
11.78 deg, I = 69.2; 16.83 deg, I = 84.4; 26.67 deg, I = 43.5; 26.83 deg, I = 60.7; 26.95 deg, I = 33.4; 33.55 deg, I = 89.0; 33.70 deg, I = 100.0; 45.05 deg, I = 31.5; 54.68 deg, I = 33.0; 55.02 deg, I = 31.3

Cell and atoms:
```
26
Lattice="10.5125 0.0000 0.0000 0.0000 3.2316 0.0000 -10.3345 0.0000 10.5646" Properties=species:S:1:pos:R:3 pbc="T T T"
K 0.0000 0.7768 0.0000
K -5.1673 2.4548 5.2823
Mn 1.6880 0.8188 7.1436
Mn 6.8553 2.4127 1.8613
Sn -1.6277 0.8721 3.5839
Sn -6.7949 2.3595 8.8661
Sn 3.5907 0.8191 1.7183
Sn -1.5766 2.4125 7.0006
Sn -3.4072 0.7483 9.1752
Sn 1.7600 2.4832 3.8929
O -6.7917 0.7354 7.4912
O -1.6244 2.4962 2.2089
O -6.8533 0.7484 10.2276
O -1.6860 2.4831 4.9453
O -3.0104 0.7840 7.0632
O 2.1569 2.4475 1.7809
O 0.4483 0.8732 3.6260
O -4.7190 2.3584 8.9083
O -0.3037 0.8018 7.1446
O 4.8635 2.4298 1.8623
O 3.1876 0.8593 3.8103
O -1.9796 2.3723 9.0925
O 6.9485 0.6812 0.6114
O 1.7813 2.5504 5.8937
O 6.8518 1.0318 3.2741
O 1.6846 2.1998 8.5564
```


CaCr2Cu3Sb2O12: theoretical powder diffractogram (Cu Kα), based on a DFT-relaxed cell (GGA+U, the Materials Project).
Intensities are scaled so that the largest is 100.

Top 10 peaks for 5 to 70 degrees two-theta, by angle:
20.34 deg, I = 14.0; 23.52 deg, I = 6.8; 33.51 deg, I = 100.0; 37.60 deg, I = 3.5; 39.51 deg, I = 7.9; 48.12 deg, I = 25.5; 52.75 deg, I = 3.6; 54.23 deg, I = 3.4; 59.91 deg, I = 47.2; 63.96 deg, I = 2.8

Cell and atoms:
```
40
Lattice="7.5640 0.0000 0.0000 0.0000 7.5640 0.0000 0.0000 0.0000 7.5640" Properties=species:S:1:pos:R:3 pbc="T T T"
Ca 1.8910 1.8910 1.8910
Ca 5.6730 5.6730 5.6730
Cr 0.0000 0.0000 0.0000
Cr 0.0000 3.7820 3.7820
Cr 3.7820 0.0000 3.7820
Cr 3.7820 3.7820 0.0000
Cu 1.8910 1.8910 5.6730
Cu 1.8910 5.6730 1.8910
Cu 1.8910 5.6730 5.6730
Cu 5.6730 1.8910 1.8910
Cu 5.6730 1.8910 5.6730
Cu 5.6730 5.6730 1.8910
Sb 0.0000 0.0000 3.7820
Sb 0.0000 3.7820 0.0000
Sb 3.7820 0.0000 0.0000
Sb 3.7820 3.7820 3.7820
O 0.4079 5.6673 6.9960
O 0.4079 5.6788 4.3501
O 0.5680 4.1899 1.8853
O 0.5680 7.1562 1.8967
O 1.8853 0.5680 4.1899
O 1.8853 3.2140 7.1562
O 1.8967 0.5680 7.1562
O 1.8967 3.2140 4.1899
O 3.2140 4.1899 1.8967
O 3.2140 7.1562 1.8853
O 3.3742 5.6673 4.3501
O 3.3742 5.6788 6.9960
O 4.1899 1.8853 0.5680
O 4.1899 1.8967 3.2140
O 4.3501 0.4079 5.6788
O 4.3501 3.3742 5.6673
O 5.6673 4.3501 3.3742
O 5.6673 6.9960 0.4079
O 5.6788 4.3501 0.4079
O 5.6788 6.9960 3.3742
O 6.9960 0.4079 5.6673
O 6.9960 3.3742 5.6788
O 7.1562 1.8853 3.2140
O 7.1562 1.8967 0.5680
```


CsCoPO4: theoretical powder diffractogram (Cu Kα), based on a DFT-relaxed cell (GGA+U, the Materials Project).
Intensities are scaled so that the largest is 100.

Top 10 peaks for 5 to 70 degrees two-theta, by angle:
18.47 deg, I = 8.8; 26.42 deg, I = 56.0; 26.60 deg, I = 100.0; 26.80 deg, I = 16.8; 32.18 deg, I = 26.1; 32.49 deg, I = 24.7; 44.66 deg, I = 8.7; 50.83 deg, I = 11.0; 51.14 deg, I = 9.3; 53.99 deg, I = 11.6

Cell and atoms:
```
56
Lattice="9.5159 0.0000 0.0000 0.0000 5.5635 0.0000 -0.1218 0.0000 18.7270" Properties=species:S:1:pos:R:3 pbc="T T T"
Cs 1.7790 1.2959 4.6741
Cs 1.7181 1.4859 14.0377
Cs 2.7313 1.3517 9.2887
Cs 2.6704 1.4301 18.6522
Cs 6.7237 4.1335 0.0749
Cs 6.6628 4.2119 9.4384
Cs 7.6761 4.0777 4.6894
Cs 7.6152 4.2676 14.0529
Co 0.7258 4.1334 11.0114
Co 0.7867 4.2119 1.6479
Co 3.8697 4.0325 6.2277
Co 3.8088 4.3128 15.5912
Co 5.5853 1.2508 3.1358
Co 5.5245 1.5310 12.4993
Co 8.6074 1.3516 17.0792
Co 8.6683 1.4302 7.7156
P 0.6771 4.1463 16.9177
P 0.7380 4.1990 7.5542
P 3.8492 4.0445 2.8883
P 3.7883 4.3009 12.2518
P 5.6058 1.2627 6.4753
P 5.5449 1.5191 15.8388
P 8.6561 1.3646 11.1729
P 8.7170 1.4172 1.8094
O -0.0323 0.2036 11.8158
O 0.0286 2.5782 2.4523
O 0.2429 2.8641 6.9049
O 0.1820 5.4812 16.2685
O 0.5205 4.1726 9.0721
O 0.4596 4.1727 18.4357
O 2.1874 3.9334 16.6247
O 2.2482 4.4119 7.2611
O 2.6528 3.8740 11.2864
O 2.7137 4.4713 1.9229
O 3.3269 4.1614 4.3496
O 3.2660 4.1839 13.7131
O 4.1900 0.2032 11.9227
O 4.2509 2.5786 2.5592
O 4.3153 0.5881 16.0825
O 4.3762 2.1937 6.7190
O 5.0179 3.3698 12.0081
O 5.0788 4.9755 2.6445
O 5.1432 2.9849 16.1679
O 5.2041 5.3604 6.8044
O 6.1281 1.3796 5.0139
O 6.0672 1.4021 14.3774
O 6.6804 1.0922 16.8042
O 6.7413 1.6895 7.4406
O 7.1459 1.1516 11.4659
O 7.2068 1.6301 2.1024
O 8.9345 1.3909 0.2914
O 8.8736 1.3909 9.6549
O 9.2121 0.0823 2.4586
O 9.1512 2.6995 11.8221
O 9.3655 2.9854 16.2748
O 9.4264 5.3599 6.9112
```


Na2MgCo2O4: theoretical powder diffractogram (Cu Kα), based on a DFT-relaxed cell (GGA+U, the Materials Project).
Intensities are scaled so that the largest is 100.

Top 10 peaks for 5 to 70 degrees two-theta, by angle:
16.75 deg, I = 33.3; 25.23 deg, I = 42.2; 30.36 deg, I = 47.2; 34.87 deg, I = 100.0; 35.26 deg, I = 45.6; 39.87 deg, I = 66.8; 40.23 deg, I = 32.7; 46.11 deg, I = 52.3; 53.65 deg, I = 39.4; 54.50 deg, I = 63.9

Cell and atoms:
```
9
Lattice="10.5882 0.0000 0.0000 0.0000 1.7081 2.9026 0.0000 -1.7081 2.9026" Properties=species:S:1:pos:R:3 pbc="T T T"
Na 0.0000 0.0000 0.0000
Na 5.2941 0.0000 1.8933
Mg 5.2941 0.0000 3.8627
Co 2.3830 0.0000 3.8509
Co 8.2052 0.0000 3.8509
O 1.6561 0.0000 1.9375
O 4.0738 0.0000 5.7466
O 6.5143 0.0000 5.7466
O 8.9321 0.0000 1.9375
```


MgMn4Zn2O8: theoretical powder diffractogram (Cu Kα), based on a DFT-relaxed cell (GGA+U, the Materials Project).
Intensities are scaled so that the largest is 100.

Top 10 peaks for 5 to 70 degrees two-theta, by angle:
32.55 deg, I = 64.5; 32.88 deg, I = 57.1; 33.31 deg, I = 82.2; 33.46 deg, I = 79.4; 34.28 deg, I = 56.1; 34.55 deg, I = 100.0; 34.66 deg, I = 58.0; 41.77 deg, I = 51.8; 59.72 deg, I = 51.1; 60.62 deg, I = 59.0

Cell and atoms:
```
15
Lattice="5.9372 0.0000 0.0000 -2.8863 5.4061 0.0000 -0.0629 -3.2358 5.3562" Properties=species:S:1:pos:R:3 pbc="T T T"
Mg 0.0000 0.0000 0.0000
Mn -1.4431 2.7031 0.0000
Mn 2.9686 0.0000 0.0000
Mn 2.9371 -1.6179 2.6781
Mn 1.5255 2.7031 0.0000
Zn -0.0560 0.0825 2.4534
Zn 3.0440 2.0878 2.9028
O -0.0429 1.8676 1.1536
O 1.4405 -0.7462 1.3080
O 1.4306 -2.4497 4.0932
O -0.0615 0.2689 4.3332
O 3.0495 1.9015 1.0230
O 1.5574 4.6200 1.2629
O 1.5475 2.9166 4.0482
O 3.0309 0.3027 4.2026
```


Li2CoO2F: theoretical powder diffractogram (Cu Kα), based on a DFT-relaxed cell (GGA+U, the Materials Project).
Intensities are scaled so that the largest is 100.

Top 10 peaks for 5 to 70 degrees two-theta, by angle:
6.26 deg, I = 100.0; 12.55 deg, I = 28.2; 18.87 deg, I = 53.9; 25.25 deg, I = 7.4; 37.21 deg, I = 27.6; 45.02 deg, I = 60.9; 49.22 deg, I = 8.6; 59.35 deg, I = 8.3; 65.15 deg, I = 16.4; 65.97 deg, I = 15.2

Cell and atoms:
```
12
Lattice="2.8320 0.0000 0.0000 -1.4160 2.4526 0.0000 0.0000 0.0000 14.1092" Properties=species:S:1:pos:R:3 pbc="T T T"
Li 0.0000 0.0000 0.0000
Li 0.0000 0.0000 7.0546
Li 0.0000 1.6351 2.3450
Li 1.4160 0.8175 11.7642
Co 0.0000 1.6351 9.4095
Co 1.4160 0.8175 4.6998
O 0.0000 0.0000 3.6684
O 0.0000 0.0000 10.4409
O 0.0000 1.6351 5.7306
O 1.4160 0.8175 8.3786
F 0.0000 1.6351 12.9362
F 1.4160 0.8175 1.1730
```


NaP2W7O25: theoretical powder diffractogram (Cu Kα), based on a DFT-relaxed cell (GGA+U, the Materials Project).
Intensities are scaled so that the largest is 100.

Top 10 peaks for 5 to 70 degrees two-theta, by angle:
6.44 deg, I = 23.1; 19.47 deg, I = 23.3; 22.70 deg, I = 100.0; 24.69 deg, I = 39.3; 31.93 deg, I = 19.3; 33.20 deg, I = 16.4; 33.68 deg, I = 13.5; 33.83 deg, I = 29.1; 52.08 deg, I = 10.7; 53.33 deg, I = 11.8

Cell and atoms:
```
35
Lattice="5.3962 0.0000 0.0000 -0.0140 6.7290 0.0000 -2.6315 -1.4499 13.7293" Properties=species:S:1:pos:R:3 pbc="T T T"
Na 0.0000 0.0000 0.0000
P 2.7278 5.6750 1.5244
P 2.5541 1.7215 12.9527
W -0.0379 3.6650 2.5721
W -0.0722 5.9731 5.6627
W -0.0343 1.5245 8.7363
W -0.0695 3.7638 11.8761
W 2.6465 1.4412 4.0474
W 2.6448 3.7145 7.1701
W 2.6210 -0.7007 10.2971
O -0.0585 2.7380 0.7020
O -1.2746 2.7422 7.8529
O -1.5845 0.5232 9.5714
O -1.7484 2.7608 12.6007
O -0.0160 4.7239 4.0708
O -1.2628 5.0666 11.2822
O -0.0529 0.3188 7.1906
O 1.1350 2.2598 3.2425
O -0.1111 2.7265 10.3896
O 1.6369 4.6706 1.8490
O 1.1142 4.6527 6.5497
O 1.4973 0.1124 4.9047
O 2.5231 6.1066 0.0167
O 1.0992 0.1926 9.8114
O 1.4674 2.3977 8.1595
O 2.6242 0.2272 2.3505
O 1.1565 2.3692 12.7569
O 1.4524 4.7656 11.4696
O 2.6394 2.5406 5.5257
O 2.6513 4.8440 8.9114
O 3.8188 2.5813 3.0492
O 4.1716 5.1232 1.6027
O 2.6765 0.4227 12.1268
O 3.8339 4.9993 6.2748
O 4.1890 0.4038 4.6547
```